Entry 1:
Structure and simulated powder diffraction line list of Nb3Pt8 (the GGA-PBE geometry in Alexandria; Cu Kα X-rays).
Lines closer than 0.1° are merged.

Peak list (12 most intense, 15 to 90 degrees two-theta, low angle first)
2theta	I (rel.)
24.17	22
30.00	42
30.57	25
35.44	20
37.96	100
39.34	29
39.89	25
43.36	29
43.87	22
45.91	18
47.10	30
47.49	34

Structural model:
a b c (Å): 6.2701 6.2701 6.2701
angles (deg): 107.77 107.77 107.77
Fractional positions:
Nb (0.0000, 0.5000, 0.5000)
Nb (0.5000, 0.0000, 0.5000)
Nb (0.5000, 0.5000, 0.0000)
Pt (0.0040, 0.8251, 0.3226)
Pt (0.1749, 0.6774, 0.9960)
Pt (0.3009, 0.3009, 0.3009)
Pt (0.3226, 0.0040, 0.8251)
Pt (0.6774, 0.9960, 0.1749)
Pt (0.6991, 0.6991, 0.6991)
Pt (0.8251, 0.3226, 0.0040)
Pt (0.9960, 0.1749, 0.6774)

---

Entry 2:
Structure and simulated powder diffraction line list of Nb3Pt7 (the GGA-PBE geometry in Alexandria; Cu Kα X-rays).
Lines closer than 0.1° are merged.

Peak list (12 most intense, 15 to 90 degrees two-theta, low angle first)
2theta	I (rel.)
38.88	100
44.63	17
45.37	16
45.59	16
65.70	11
66.28	10
78.27	6
78.44	6
79.34	6
79.51	6
79.74	13
83.34	6

Structural model:
a b c (Å): 7.5218 7.5218 5.6893
angles (deg): 100.04 100.04 30.68
Fractional positions:
Nb (0.0000, 0.0000, 0.0000)
Nb (0.2017, 0.2017, 0.6117)
Nb (0.7983, 0.7983, 0.3883)
Pt (0.0000, 0.0000, 0.5000)
Pt (0.1986, 0.1986, 0.1078)
Pt (0.3993, 0.3993, 0.6990)
Pt (0.4039, 0.4039, 0.2025)
Pt (0.5961, 0.5961, 0.7975)
Pt (0.6007, 0.6007, 0.3010)
Pt (0.8014, 0.8014, 0.8922)

---

Entry 3:
Structure and simulated powder diffraction line list of Nb3Pt2 (the GGA-PBE geometry in Alexandria; Cu Kα X-rays).
Lines closer than 0.1° are merged.

Peak list (12 most intense, 15 to 90 degrees two-theta, low angle first)
2theta	I (rel.)
22.77	18
37.78	100
38.60	95
44.21	64
44.75	31
63.17	11
64.73	41
76.54	25
77.84	12
78.10	24
78.35	12
80.71	11

Structural model:
a b c (Å): 7.7648 7.7648 7.7648
angles (deg): 158.83 149.76 37.21
Fractional positions:
Nb (0.0000, 0.0000, 0.0000)
Nb (0.1948, 0.1948, 0.0000)
Nb (0.8052, 0.8052, 0.0000)
Pt (0.4014, 0.4014, 0.0000)
Pt (0.5986, 0.5986, 0.0000)

---

Entry 4:
Structure and simulated powder diffraction line list of Nb4Pt (the GGA-PBE geometry in Alexandria; Cu Kα X-rays).
Lines closer than 0.1° are merged.

Peak list (12 most intense, 15 to 90 degrees two-theta, low angle first)
2theta	I (rel.)
20.13	12
38.54	51
38.69	100
39.04	97
39.56	46
55.86	17
56.42	33
69.87	34
70.09	25
70.96	16
71.66	15
82.99	11

Structural model:
a b c (Å): 7.1521 7.1521 2.7943
angles (deg): 96.60 96.60 38.12
Fractional positions:
Nb (0.0978, 0.0978, 0.4252)
Nb (0.2969, 0.2969, 0.1871)
Nb (0.7031, 0.7031, 0.8129)
Nb (0.9022, 0.9022, 0.5748)
Pt (0.5000, 0.5000, 0.0000)

---

Entry 5:
Structure and simulated powder diffraction line list of Nb2Pt5Rh (the GGA-PBE geometry in Alexandria; Cu Kα X-rays).
Lines closer than 0.1° are merged.

Peak list (12 most intense, 15 to 90 degrees two-theta, low angle first)
2theta	I (rel.)
17.53	1
22.23	5
31.79	4
39.14	100
45.36	33
45.79	16
56.45	2
66.09	11
66.42	21
79.57	25
80.20	13
84.11	11

Structural model:
a b c (Å): 5.6556 11.3095 3.9633
angles (deg): 90.00 90.00 90.00
Fractional positions:
Nb (0.2406, 0.1219, 0.0000)
Nb (0.2594, 0.6219, 0.0000)
Nb (0.7406, 0.3781, 0.0000)
Nb (0.7594, 0.8781, 0.0000)
Pt (0.0000, 0.5000, 0.5000)
Pt (0.0061, 0.7512, 0.5000)
Pt (0.2480, 0.3756, 0.0000)
Pt (0.2520, 0.8756, 0.0000)
Pt (0.4939, 0.2512, 0.5000)
Pt (0.5000, 0.0000, 0.5000)
Pt (0.5061, 0.7488, 0.5000)
Pt (0.7480, 0.1244, 0.0000)
Pt (0.7520, 0.6244, 0.0000)
Pt (0.9939, 0.2488, 0.5000)
Rh (0.0000, 0.0000, 0.5000)
Rh (0.5000, 0.5000, 0.5000)

---

Entry 6:
Structure and simulated powder diffraction line list of Nb14PtRh (the GGA-PBE geometry in Alexandria; Cu Kα X-rays).
Lines closer than 0.1° are merged.

Peak list (12 most intense, 15 to 90 degrees two-theta, low angle first)
2theta	I (rel.)
38.49	25
38.60	100
39.30	24
55.29	9
56.18	16
69.38	9
69.70	17
69.92	8
70.78	16
82.48	3
82.76	10
84.53	2

Structural model:
a b c (Å): 5.7382 5.7382 9.1698
angles (deg): 90.00 90.00 109.22
Fractional positions:
Nb (0.0000, 0.0000, 0.0000)
Nb (0.0000, 0.5000, 0.0000)
Nb (0.0000, 0.5000, 0.5000)
Nb (0.2490, 0.7510, 0.2552)
Nb (0.2490, 0.7510, 0.7448)
Nb (0.2533, 0.2533, 0.2548)
Nb (0.2533, 0.2533, 0.7452)
Nb (0.5000, 0.0000, 0.0000)
Nb (0.5000, 0.0000, 0.5000)
Nb (0.5000, 0.5000, 0.0000)
Nb (0.7467, 0.7467, 0.2548)
Nb (0.7467, 0.7467, 0.7452)
Nb (0.7510, 0.2490, 0.2552)
Nb (0.7510, 0.2490, 0.7448)
Pt (0.0000, 0.0000, 0.5000)
Rh (0.5000, 0.5000, 0.5000)

---

Entry 7:
Structure and simulated powder diffraction line list of Nb6PtRh (the GGA-PBE geometry in Alexandria; Cu Kα X-rays).
Lines closer than 0.1° are merged.

Peak list (12 most intense, 15 to 90 degrees two-theta, low angle first)
2theta	I (rel.)
20.18	5
26.89	2
28.38	2
30.40	3
38.39	53
39.25	100
55.42	18
58.01	8
70.00	35
71.73	16
82.23	6
84.41	11

Structural model:
a b c (Å): 7.1721 7.1721 7.1721
angles (deg): 141.83 141.83 55.08
Fractional positions:
Nb (0.1253, 0.6253, 0.5000)
Nb (0.2501, 0.2501, 0.0000)
Nb (0.3747, 0.8747, 0.5000)
Nb (0.6253, 0.1253, 0.5000)
Nb (0.7499, 0.7499, 0.0000)
Nb (0.8747, 0.3747, 0.5000)
Pt (0.0000, 0.0000, 0.0000)
Rh (0.5000, 0.5000, 0.0000)

---

Entry 8:
Structure and simulated powder diffraction line list of NbPtRh6 (the GGA-PBE geometry in Alexandria; Cu Kα X-rays).
Lines closer than 0.1° are merged.

Peak list (12 most intense, 15 to 90 degrees two-theta, low angle first)
2theta	I (rel.)
26.63	17
36.30	19
36.40	38
39.29	39
42.31	63
42.40	31
42.77	100
44.20	33
44.27	16
48.37	20
68.82	16
77.08	16

Structural model:
a b c (Å): 4.9734 4.9735 4.9866
angles (deg): 94.72 94.65 94.76
Fractional positions:
Nb (0.0000, 0.0000, 0.0000)
Pt (0.5000, 0.5000, 0.5000)
Rh (0.0312, 0.4621, 0.7486)
Rh (0.2513, 0.9677, 0.5392)
Rh (0.4609, 0.7485, 0.0328)
Rh (0.5391, 0.2515, 0.9672)
Rh (0.7487, 0.0323, 0.4608)
Rh (0.9688, 0.5379, 0.2514)

---

Entry 9:
Structure and simulated powder diffraction line list of Nb3Pt3Rh2 (the GGA-PBE geometry in Alexandria; Cu Kα X-rays).
Lines closer than 0.1° are merged.

Peak list (12 most intense, 15 to 90 degrees two-theta, low angle first)
2theta	I (rel.)
22.00	6
39.05	100
44.86	17
45.40	16
45.95	16
65.73	11
66.16	11
66.58	10
78.80	13
79.57	13
80.37	12
83.90	11

Structural model:
a b c (Å): 3.9504 3.9957 8.0816
angles (deg): 90.00 90.00 90.00
Fractional positions:
Nb (0.0000, 0.0000, 0.0000)
Nb (0.5000, 0.0000, 0.2513)
Nb (0.5000, 0.0000, 0.7487)
Pt (0.0000, 0.0000, 0.5000)
Pt (0.5000, 0.5000, 0.0000)
Pt (0.5000, 0.5000, 0.5000)
Rh (0.0000, 0.5000, 0.2514)
Rh (0.0000, 0.5000, 0.7486)

---

Entry 10:
Structure and simulated powder diffraction line list of Nb5Pt2Rh4 (the GGA-PBE geometry in Alexandria; Cu Kα X-rays).
Lines closer than 0.1° are merged.

Peak list (12 most intense, 15 to 90 degrees two-theta, low angle first)
2theta	I (rel.)
23.30	18
36.30	50
37.37	27
38.38	20
38.81	85
40.59	100
41.12	23
44.23	30
46.63	25
47.63	41
67.02	17
80.06	25

Structural model:
a b c (Å): 6.3336 15.1488 3.8182
angles (deg): 90.00 90.00 90.00
Fractional positions:
Nb (0.0000, 0.0000, 0.0000)
Nb (0.1109, 0.4137, 0.0000)
Nb (0.1946, 0.1893, 0.0000)
Nb (0.3054, 0.6893, 0.0000)
Nb (0.3891, 0.9137, 0.0000)
Nb (0.5000, 0.5000, 0.0000)
Nb (0.6109, 0.0863, 0.0000)
Nb (0.6946, 0.3107, 0.0000)
Nb (0.8054, 0.8107, 0.0000)
Nb (0.8891, 0.5863, 0.0000)
Pt (0.0045, 0.2943, 0.5000)
Pt (0.4955, 0.7943, 0.5000)
Pt (0.5045, 0.2057, 0.5000)
Pt (0.9955, 0.7057, 0.5000)
Rh (0.1010, 0.8742, 0.5000)
Rh (0.1984, 0.5462, 0.5000)
Rh (0.3016, 0.0462, 0.5000)
Rh (0.3990, 0.3742, 0.5000)
Rh (0.6010, 0.6258, 0.5000)
Rh (0.6984, 0.9538, 0.5000)
Rh (0.8016, 0.4538, 0.5000)
Rh (0.8990, 0.1258, 0.5000)

---

Entry 11:
Structure and simulated powder diffraction line list of Nb2PtRh4 (the GGA-PBE geometry in Alexandria; Cu Kα X-rays).
Lines closer than 0.1° are merged.

Peak list (12 most intense, 15 to 90 degrees two-theta, low angle first)
2theta	I (rel.)
19.89	66
37.94	40
39.95	21
40.35	90
40.47	100
45.85	65
49.28	25
52.05	14
69.57	32
80.98	21
81.22	23
86.21	16

Structural model:
a b c (Å): 5.4175 5.4175 5.4175
angles (deg): 117.93 93.89 117.62
Fractional positions:
Nb (0.0000, 0.0000, 0.0000)
Nb (0.5868, 0.0868, 0.5000)
Pt (0.0610, 0.5610, 0.5000)
Rh (0.1040, 0.0906, 0.5277)
Rh (0.1040, 0.5763, 0.0134)
Rh (0.5629, 0.0906, 0.9866)
Rh (0.5629, 0.5763, 0.4723)

---

Entry 12:
Structure and simulated powder diffraction line list of NbPt6Rh (the GGA-PBE geometry in Alexandria; Cu Kα X-rays).
Lines closer than 0.1° are merged.

Peak list (12 most intense, 15 to 90 degrees two-theta, low angle first)
2theta	I (rel.)
27.14	50
30.04	78
39.29	100
42.49	92
46.99	24
52.04	47
53.79	26
68.24	19
73.45	26
77.03	25
79.18	17
83.44	17

Structural model:
a b c (Å): 5.3011 5.3011 5.3011
angles (deg): 85.63 85.63 85.63
Fractional positions:
Nb (0.0000, 0.0000, 0.0000)
Pt (0.1659, 0.1659, 0.5421)
Pt (0.1659, 0.5421, 0.1659)
Pt (0.4579, 0.8341, 0.8341)
Pt (0.5421, 0.1659, 0.1659)
Pt (0.8341, 0.4579, 0.8341)
Pt (0.8341, 0.8341, 0.4579)
Rh (0.5000, 0.5000, 0.5000)

---

Entry 13:
Structure and simulated powder diffraction line list of Nb2PtRh2 (the GGA-PBE geometry in Alexandria; Cu Kα X-rays).
Lines closer than 0.1° are merged.

Peak list (12 most intense, 15 to 90 degrees two-theta, low angle first)
2theta	I (rel.)
37.70	13
38.38	57
39.90	53
40.35	100
40.57	95
56.56	37
71.04	18
72.75	17
72.90	16
74.96	14
80.50	14
80.94	25

Structural model:
a b c (Å): 2.8099 4.5194 12.7706
angles (deg): 90.00 90.00 90.00
Fractional positions:
Nb (0.2500, 0.2500, 0.0582)
Nb (0.2500, 0.7500, 0.3521)
Nb (0.7500, 0.2500, 0.6479)
Nb (0.7500, 0.7500, 0.9418)
Pt (0.2500, 0.7500, 0.7413)
Pt (0.7500, 0.2500, 0.2587)
Rh (0.2500, 0.2500, 0.4635)
Rh (0.2500, 0.7500, 0.1478)
Rh (0.7500, 0.2500, 0.8522)
Rh (0.7500, 0.7500, 0.5365)